This entry pairs a crystal structure of Pr2HoAg6 with its simulated powder XRD pattern. Radiation: Cu Kα. Structure: a structure optimized by DFT (GGA-PBE).

Largest 10 diffraction maxima, by intensity, 2θ from 10° to 90°:
d (Å)  Rel. int.  h k l
2.696  100.0  1 1 1
2.405  74.0  3 0 0
1.794  29.4  2 2 1
1.438  27.8  4 1 1
1.424  27.2  3 0 2
1.388  12.4  3 3 0
1.098  12.1  5 2 1
1.092  12.0  3 3 2
1.768  9.5  0 0 2
1.202  7.7  6 0 0

Cell and atoms:
```
data_Pr2HoAg6
_space_group_name_H-M_alt 'P 6/m m m'
_space_group_IT_number 191
_space_group_name_Hall '-P 6 2'
_cell_length_a 8.3303
_cell_length_b 8.3303
_cell_length_c 3.5362
_cell_angle_alpha 90.00
_cell_angle_beta 90.00
_cell_angle_gamma 120.00
loop_
_atom_site_label
_atom_site_fract_x
_atom_site_fract_y
_atom_site_fract_z
Pr1 0.3333 0.6667 0.0000
Ho1 0.0000 0.0000 0.0000
Ag1 0.0000 0.3303 0.5000
```